The following is a simulated PXRD pattern of Tm5Mg4Hg. It was derived from a cell relaxed with PBE, using Cu Kα X-rays.
Neutral-atom scattering factors, no anomalous dispersion.

Atomic structure:
abc: 3.7486 3.7486 18.5234
angles: 90.00 90.00 90.00
Space group P4/mmm (No. 123)
Unique sites:
1 Tm 0.0000 0.0000 0.0000
2 Tm 0.0000 0.0000 0.2023
3 Tm 0.0000 0.0000 0.4039
4 Mg 0.5000 0.5000 0.1011
5 Mg 0.5000 0.5000 0.3010
6 Hg 0.5000 0.5000 0.5000

Main lines, in order of rising 2θ (2θ from 10° to 90°):
23.74 deg, d 3.749, I 27; 24.02 deg, d 3.705, I 13; 33.82 deg, d 2.651, I 52; 34.02 deg, d 2.635, I 100; 41.91 deg, d 2.156, I 12; 48.58 deg, d 1.874, I 19; 60.63 deg, d 1.527, I 38; 61.03 deg, d 1.518, I 18; 71.63 deg, d 1.318, I 11; 81.26 deg, d 1.184, I 9